[1]
Diffraction record for SrZnSi2Ag. The X-ray powder pattern is simulated, not measured: it uses a DFT-relaxed cell (GGA-PBE, OQMD) and λ = 1.5418 Å (Cu Kα).
Intensities are scaled so that the largest is 100.

Structure:
```
data_SrZnSi2Ag
_chemical_formula_sum 'Sr2 Zn2 Si4 Ag2'
_cell_length_a 4.3481
_cell_length_b 4.3481
_cell_length_c 10.5213
_cell_angle_alpha 90.00
_cell_angle_beta 90.00
_cell_angle_gamma 90.00
_symmetry_space_group_name_H-M 'I -4 m 2'
_symmetry_Int_Tables_number 119
_symmetry_space_group_name_Hall 'I -4 -2'
loop_
_atom_site_label
_atom_site_type_symbol
_atom_site_fract_x
_atom_site_fract_y
_atom_site_fract_z
Sr1 Sr 0.0000 0.0000 0.0000
Zn1 Zn 0.0000 0.5000 0.7500
Si1 Si 0.0000 0.0000 0.3870
Ag1 Ag 0.0000 0.5000 0.2500
```

Principal peaks in the range 5 to 70 degrees two-theta, in order of falling intensity:
2θ 33.77, I 100, (1 1 2); 2θ 41.54, I 38, (2 0 0); 2θ 32.81, I 22, (1 0 3); 2θ 34.09, I 15, (0 0 4); 2θ 54.78, I 14, (2 0 4); 2θ 60.81, I 13, (1 1 6); 2θ 16.85, I 13, (0 0 2); 2θ 22.12, I 13, (1 0 1)



[2]
Diffraction record for LiAl2Cu5. The X-ray powder pattern is simulated, not measured: it uses a DFT-relaxed cell (GGA-PBE, OQMD) and λ = 1.5418 Å (Cu Kα).
Intensities are scaled so that the largest is 100.

Structure:
```
data_LiAl2Cu5
_chemical_formula_sum 'Li1 Al2 Cu5'
_cell_length_a 4.1266
_cell_length_b 4.1266
_cell_length_c 5.8394
_cell_angle_alpha 90.00
_cell_angle_beta 90.00
_cell_angle_gamma 90.00
_symmetry_space_group_name_H-M 'P 4/m m m'
_symmetry_Int_Tables_number 123
_symmetry_space_group_name_Hall '-P 4 2'
loop_
_atom_site_label
_atom_site_type_symbol
_atom_site_fract_x
_atom_site_fract_y
_atom_site_fract_z
Li1 Li 0.0000 0.0000 0.0000
Al1 Al 0.0000 0.0000 0.5000
Al2 Al 0.5000 0.5000 0.0000
Cu1 Cu 0.0000 0.5000 0.2483
Cu2 Cu 0.5000 0.5000 0.5000
```

Principal peaks in the range 5 to 70 degrees two-theta, in order of falling intensity:
2θ 43.87, I 100, (2 0 0); 2θ 30.63, I 19, (1 1 0); 2θ 63.78, I 15, (2 2 0); 2θ 15.17, I 6, (0 0 1); 2θ 21.53, I 6, (1 0 0); 2θ 54.45, I 4, (2 0 2); 2θ 34.36, I 4, (1 1 1); 2θ 37.74, I 3, (1 0 2)



[3]
Diffraction record for Li2Mg2Al2NiAg. The X-ray powder pattern is simulated, not measured: it uses a DFT-relaxed cell (GGA-PBE, OQMD) and λ = 1.5418 Å (Cu Kα).
Intensities are scaled so that the largest is 100.

Structure:
```
data_Li2Mg2Al2NiAg
_chemical_formula_sum 'Li2 Mg2 Al2 Ni1 Ag1'
_cell_length_a 4.3818
_cell_length_b 4.3818
_cell_length_c 6.3864
_cell_angle_alpha 90.00
_cell_angle_beta 90.00
_cell_angle_gamma 90.00
_symmetry_space_group_name_H-M 'P -4 m 2'
_symmetry_Int_Tables_number 115
loop_
_symmetry_equiv_pos_as_xyz
'x,y,z'
'y,-x,-z'
'-x,-y,z'
'-y,x,-z'
'-x,y,z'
'-y,-x,-z'
'x,-y,z'
'y,x,-z'
loop_
_atom_site_label
_atom_site_type_symbol
_atom_site_fract_x
_atom_site_fract_y
_atom_site_fract_z
Li1 Li 0.0000 0.0000 0.0000
Li2 Li 0.5000 0.5000 0.5000
Mg1 Mg 0.0000 0.5000 0.2340
Al1 Al 0.0000 0.5000 0.7755
Ni1 Ni 0.5000 0.5000 0.0000
Ag1 Ag 0.0000 0.0000 0.5000
```

Principal peaks in the range 5 to 70 degrees two-theta, in order of falling intensity:
2θ 24.64, I 100, (1 0 1); 2θ 40.57, I 78, (1 1 2); 2θ 41.20, I 38, (2 0 0); 2θ 48.60, I 30, (2 1 1); 2θ 47.48, I 16, (1 0 3); 2θ 59.69, I 12, (2 2 0); 2θ 64.65, I 12, (2 1 3); 2θ 28.81, I 8, (1 1 0)



[4]
Diffraction record for CsAuI2Br. The X-ray powder pattern is simulated, not measured: it uses a DFT-relaxed cell (GGA-PBE, OQMD) and λ = 1.5418 Å (Cu Kα).
Intensities are scaled so that the largest is 100.

Structure:
```
data_CsAuI2Br
_chemical_formula_sum 'Cs4 Au4 I8 Br4'
_cell_length_a 8.3002
_cell_length_b 8.3002
_cell_length_c 11.9254
_cell_angle_alpha 90.00
_cell_angle_beta 90.00
_cell_angle_gamma 90.00
_symmetry_space_group_name_H-M 'I 4/m m m'
_symmetry_Int_Tables_number 139
_symmetry_space_group_name_Hall '-I 4 2'
loop_
_atom_site_label
_atom_site_type_symbol
_atom_site_fract_x
_atom_site_fract_y
_atom_site_fract_z
Cs1 Cs 0.0000 0.5000 0.2500
Au1 Au 0.0000 0.0000 0.0000
Au2 Au 0.0000 0.0000 0.5000
I1 I 0.2305 0.2305 0.0000
Br1 Br 0.0000 0.0000 0.2925
```

Principal peaks in the range 5 to 70 degrees two-theta, in order of falling intensity:
2θ 30.46, I 100, (2 2 0); 2θ 21.24, I 78, (1 1 2); 2θ 43.26, I 66, (2 2 4); 2θ 29.97, I 48, (0 0 4); 2θ 26.16, I 44, (2 0 2); 2θ 14.86, I 40, (0 0 2); 2θ 43.62, I 35, (4 0 0); 2θ 37.44, I 34, (3 1 2)